This entry pairs a crystal structure of TlCd4In8 with its theoretical powder XRD pattern. Radiation: CuKα. Structure: DFT lattice parameters and positions (PBE).
Peak positions follow from Bragg's law for the DFT cell and can differ from measured ones.

Cell lengths 9.7199, 5.4732, 13.4540 Å; angles 90.00, 102.58, 90.00 degrees
Space group C2/m (No. 12)
Asymmetric unit:
Tl: 0.0000 0.0000 0.0000 (multiplicity 2)
Cd: 0.1313 0.0000 0.4655 (multiplicity 4)
Cd: 0.1592 0.5000 0.8478 (multiplicity 4)
In: 0.9995 0.0000 0.2384 (multiplicity 4)
In: 0.1003 0.5000 0.6110 (multiplicity 4)
In: 0.1758 0.5000 0.0841 (multiplicity 4)
In: 0.1897 0.5000 0.3178 (multiplicity 4)

Main lines, in order of rising 2θ (2θ = 5–70°):
(2 0 -4), 2θ 29.53, I = 22
(3 1 -1), 2θ 32.11, I = 36
(0 2 0), 2θ 32.72, I = 100
(3 1 -2), 2θ 32.99, I = 14
(1 1 4), 2θ 34.90, I = 90
(2 0 -5), 2θ 35.26, I = 36
(2 2 -5), 2θ 48.88, I = 17
(1 3 4), 2θ 59.82, I = 18

This entry pairs a crystal structure of TlCd6In4 with its theoretical powder XRD pattern. Radiation: CuKα. Structure: DFT lattice parameters and positions (PBE).
Peak positions follow from Bragg's law for the DFT cell and can differ from measured ones.

Cell lengths 6.9657, 6.9657, 12.4696 Å; angles 90.00, 90.00, 90.00 degrees
Space group I-42m (No. 121)
Asymmetric unit:
Tl: 0.0000 0.0000 0.0000 (multiplicity 2)
Cd: 0.0000 0.5000 0.0000 (multiplicity 4)
Cd: 0.1580 0.1580 0.6047 (multiplicity 8)
In: 0.2371 0.2371 0.8298 (multiplicity 8)

Main lines, in order of rising 2θ (2θ = 5–70°):
(2 0 2), 2θ 29.37, I = 100
(2 1 1), 2θ 29.56, I = 73
(1 1 4), 2θ 34.04, I = 61
(2 1 3), 2θ 36.03, I = 41
(2 2 0), 2θ 36.48, I = 65
(2 0 4), 2θ 38.77, I = 74
(0 0 6), 2θ 43.57, I = 41
(4 2 2), 2θ 61.35, I = 35

This entry pairs a crystal structure of TlCd4In7 with its theoretical powder XRD pattern. Radiation: CuKα. Structure: DFT lattice parameters and positions (PBE).
Peak positions follow from Bragg's law for the DFT cell and can differ from measured ones.

Cell lengths 3.3235, 3.3235, 32.5715 Å; angles 90.00, 90.00, 120.00 degrees
Space group P-3m1 (No. 164)
Asymmetric unit:
Tl: 0.0000 0.0000 0.0000 (multiplicity 1)
Cd: 0.3333 0.6667 0.1707 (multiplicity 2)
Cd: 0.3333 0.6667 0.4194 (multiplicity 2)
In: 0.0000 0.0000 0.2526 (multiplicity 2)
In: 0.0000 0.0000 0.5000 (multiplicity 1)
In: 0.3333 0.6667 0.6629 (multiplicity 2)
In: 0.3333 0.6667 0.9102 (multiplicity 2)

Main lines, in order of rising 2θ (2θ = 5–70°):
(0 0 2), 2θ 5.43, I = 3
(1 0 4), 2θ 33.01, I = 100
(0 1 7), 2θ 36.71, I = 1
(0 1 8), 2θ 38.30, I = 49
(1 0 15), 2θ 52.81, I = 1
(1 1 0), 2θ 55.28, I = 32
(0 2 4), 2θ 65.91, I = 36
(2 0 8), 2θ 69.24, I = 10